(1)
# TaSe3
Theoretical PXRD pattern, Cu Kα, 1.54184 Å. Input: a cell relaxed with PBE.
Lines closer than 0.1° are merged.

Most intense lines, 2θ from 5° to 70°, low angle first:
2θ (°)	d_spacing	I_rel
8.94	9.891	100.0
17.82	4.976	29.6
17.94	4.946	36.8
31.17	2.869	58.1
32.90	2.722	43.0
37.36	2.407	59.8
42.98	2.104	32.4
43.27	2.091	34.2
45.66	1.987	34.0
51.94	1.760	26.6

```
data_TaSe3
_symmetry_space_group_name_H-M 'P 1 21/m 1'
_symmetry_Int_Tables_number 11
_cell_length_a 10.4892
_cell_length_b 3.5212
_cell_length_c 15.8175
_cell_angle_alpha 90.00
_cell_angle_beta 109.27
_cell_angle_gamma 90.00
loop_
_symmetry_equiv_pos_as_xyz
'x,y,z'
'-x,-y,-z'
'-x,y+1/2,-z'
'x,-y+1/2,z'
loop_
_atom_site_label
_atom_site_type_symbol
_atom_site_fract_x
_atom_site_fract_y
_atom_site_fract_z
_atom_site_occupancy
Ta1 Ta 0.0318 0.2500 0.3837 1
Ta2 Ta 0.3403 0.2500 0.0395 1
Ta3 Ta 0.3831 0.2500 0.7074 1
Se1 Se 0.0559 0.7500 0.2646 1
Se2 Se 0.1215 0.2500 0.5678 1
Se3 Se 0.1734 0.7500 0.0756 1
Se4 Se 0.1836 0.7500 0.9243 1
Se5 Se 0.2222 0.7500 0.7480 1
Se6 Se 0.2357 0.7500 0.4186 1
Se7 Se 0.4099 0.7500 0.5891 1
Se8 Se 0.4169 0.2500 0.2238 1
Se9 Se 0.4610 0.2500 0.9065 1
```



(2)
# TaSe2
Theoretical PXRD pattern, Cu Kα, 1.54184 Å. Input: a cell relaxed with PBE.
Lines closer than 0.1° are merged.

Most intense lines, 2θ from 5° to 70°, low angle first:
2θ (°)	d_spacing	I_rel
13.00	6.812	100.0
29.57	3.021	12.5
31.20	2.866	18.9
32.42	2.761	63.3
33.93	2.642	14.5
39.89	2.260	77.7
50.27	1.815	21.0
52.47	1.744	30.0
54.30	1.689	16.3
67.89	1.381	16.3

```
data_TaSe2
_symmetry_space_group_name_H-M 'P 63/m m c'
_symmetry_Int_Tables_number 194
_symmetry_space_group_name_Hall '-P 6c 2c'
_cell_length_a 3.4880
_cell_length_b 3.4880
_cell_length_c 27.2481
_cell_angle_alpha 90.00
_cell_angle_beta 90.00
_cell_angle_gamma 120.00
loop_
_atom_site_label
_atom_site_type_symbol
_atom_site_fract_x
_atom_site_fract_y
_atom_site_fract_z
_atom_site_occupancy
Ta1 Ta 0.0000 0.0000 0.0000 1
Ta2 Ta 0.0000 0.0000 0.2500 1
Se1 Se 0.3333 0.6667 0.0610 1
Se2 Se 0.3333 0.6667 0.6886 1
```



What did the first record say?
# TaSe3
Theoretical PXRD pattern, Cu Kα, 1.54184 Å. Input: a cell relaxed with PBE.
Lines closer than 0.1° are merged.

Most intense lines, 2θ from 5° to 70°, low angle first:
2θ (°)	d_spacing	I_rel
8.94	9.891	100.0
17.82	4.976	29.6
17.94	4.946	36.8
31.17	2.869	58.1
32.90	2.722	43.0
37.36	2.407	59.8
42.98	2.104	32.4
43.27	2.091	34.2
45.66	1.987	34.0
51.94	1.760	26.6

```
data_TaSe3
_symmetry_space_group_name_H-M 'P 1 21/m 1'
_symmetry_Int_Tables_number 11
_cell_length_a 10.4892
_cell_length_b 3.5212
_cell_length_c 15.8175
_cell_angle_alpha 90.00
_cell_angle_beta 109.27
_cell_angle_gamma 90.00
loop_
_symmetry_equiv_pos_as_xyz
'x,y,z'
'-x,-y,-z'
'-x,y+1/2,-z'
'x,-y+1/2,z'
loop_
_atom_site_label
_atom_site_type_symbol
_atom_site_fract_x
_atom_site_fract_y
_atom_site_fract_z
_atom_site_occupancy
Ta1 Ta 0.0318 0.2500 0.3837 1
Ta2 Ta 0.3403 0.2500 0.0395 1
Ta3 Ta 0.3831 0.2500 0.7074 1
Se1 Se 0.0559 0.7500 0.2646 1
Se2 Se 0.1215 0.2500 0.5678 1
Se3 Se 0.1734 0.7500 0.0756 1
Se4 Se 0.1836 0.7500 0.9243 1
Se5 Se 0.2222 0.7500 0.7480 1
Se6 Se 0.2357 0.7500 0.4186 1
Se7 Se 0.4099 0.7500 0.5891 1
Se8 Se 0.4169 0.2500 0.2238 1
Se9 Se 0.4610 0.2500 0.9065 1
```



Copy entry 1 word for word.
# TaSe3
Theoretical PXRD pattern, Cu Kα, 1.54184 Å. Input: a cell relaxed with PBE.
Lines closer than 0.1° are merged.

Most intense lines, 2θ from 5° to 70°, low angle first:
2θ (°)	d_spacing	I_rel
8.94	9.891	100.0
17.82	4.976	29.6
17.94	4.946	36.8
31.17	2.869	58.1
32.90	2.722	43.0
37.36	2.407	59.8
42.98	2.104	32.4
43.27	2.091	34.2
45.66	1.987	34.0
51.94	1.760	26.6

```
data_TaSe3
_symmetry_space_group_name_H-M 'P 1 21/m 1'
_symmetry_Int_Tables_number 11
_cell_length_a 10.4892
_cell_length_b 3.5212
_cell_length_c 15.8175
_cell_angle_alpha 90.00
_cell_angle_beta 109.27
_cell_angle_gamma 90.00
loop_
_symmetry_equiv_pos_as_xyz
'x,y,z'
'-x,-y,-z'
'-x,y+1/2,-z'
'x,-y+1/2,z'
loop_
_atom_site_label
_atom_site_type_symbol
_atom_site_fract_x
_atom_site_fract_y
_atom_site_fract_z
_atom_site_occupancy
Ta1 Ta 0.0318 0.2500 0.3837 1
Ta2 Ta 0.3403 0.2500 0.0395 1
Ta3 Ta 0.3831 0.2500 0.7074 1
Se1 Se 0.0559 0.7500 0.2646 1
Se2 Se 0.1215 0.2500 0.5678 1
Se3 Se 0.1734 0.7500 0.0756 1
Se4 Se 0.1836 0.7500 0.9243 1
Se5 Se 0.2222 0.7500 0.7480 1
Se6 Se 0.2357 0.7500 0.4186 1
Se7 Se 0.4099 0.7500 0.5891 1
Se8 Se 0.4169 0.2500 0.2238 1
Se9 Se 0.4610 0.2500 0.9065 1
```



- Which formula does entry 2 have?
  TaSe2



Repeat the second record exactly.
# TaSe2
Theoretical PXRD pattern, Cu Kα, 1.54184 Å. Input: a cell relaxed with PBE.
Lines closer than 0.1° are merged.

Most intense lines, 2θ from 5° to 70°, low angle first:
2θ (°)	d_spacing	I_rel
13.00	6.812	100.0
29.57	3.021	12.5
31.20	2.866	18.9
32.42	2.761	63.3
33.93	2.642	14.5
39.89	2.260	77.7
50.27	1.815	21.0
52.47	1.744	30.0
54.30	1.689	16.3
67.89	1.381	16.3

```
data_TaSe2
_symmetry_space_group_name_H-M 'P 63/m m c'
_symmetry_Int_Tables_number 194
_symmetry_space_group_name_Hall '-P 6c 2c'
_cell_length_a 3.4880
_cell_length_b 3.4880
_cell_length_c 27.2481
_cell_angle_alpha 90.00
_cell_angle_beta 90.00
_cell_angle_gamma 120.00
loop_
_atom_site_label
_atom_site_type_symbol
_atom_site_fract_x
_atom_site_fract_y
_atom_site_fract_z
_atom_site_occupancy
Ta1 Ta 0.0000 0.0000 0.0000 1
Ta2 Ta 0.0000 0.0000 0.2500 1
Se1 Se 0.3333 0.6667 0.0610 1
Se2 Se 0.3333 0.6667 0.6886 1
```